Entry 1:
The following is a calculated powder diffractogram of Al2VCl8. It was derived from the PBE geometry in the Materials Project, using Cu Kα.
Peak positions follow from Bragg's law for the DFT cell and can differ from measured ones.

Principal peaks in the range 10° ≤ 2θ ≤ 90°, low angle first:
(1 1 0), 2θ = 12.59°, intensity 71.7
(2 0 0), 2θ = 12.75°, intensity 82.5
(3 1 -1), 2θ = 18.66°, intensity 27.3
(1 1 -2), 2θ = 19.53°, intensity 22.3
(2 2 0), 2θ = 25.34°, intensity 37.1
(2 0 2), 2θ = 29.34°, intensity 71.9
(4 2 -2), 2θ = 29.97°, intensity 100.0
(4 0 -4), 2θ = 30.59°, intensity 36.1
(6 2 -4), 2θ = 40.60°, intensity 20.7
(6 2 0), 2θ = 45.06°, intensity 40.2

```
data_Al2VCl8
_chemical_formula_sum 'Al8 V4 Cl32'
_cell_length_a 17.7559
_cell_length_b 8.1518
_cell_length_c 11.6981
_cell_angle_alpha 90.00
_cell_angle_beta 128.58
_cell_angle_gamma 90.00
_symmetry_space_group_name_H-M 'C 1 2/c 1'
_symmetry_Int_Tables_number 15
loop_
_symmetry_equiv_pos_as_xyz
'x,y,z'
'-x,-y,-z'
'-x,y,-z+1/2'
'x,-y,z+1/2'
'x+1/2,y+1/2,z'
'-x+1/2,-y+1/2,-z'
'-x+1/2,y+1/2,-z+1/2'
'x+1/2,-y+1/2,z+1/2'
loop_
_atom_site_label
_atom_site_type_symbol
_atom_site_fract_x
_atom_site_fract_y
_atom_site_fract_z
_atom_site_occupancy
Al1 Al 0.0842 0.2426 0.0303 1
V1 V 0.0000 0.0021 0.7500 1
Cl1 Cl 0.0619 0.2193 0.6775 1
Cl2 Cl 0.0807 0.2238 0.2137 1
Cl3 Cl 0.1475 0.0231 0.0116 1
Cl4 Cl 0.1541 0.4618 0.0508 1
```

---

Entry 2:
The following is a calculated powder diffractogram of YAl3Cl12. It was derived from the PBE geometry in the Materials Project, using Cu Kα.
Peak positions follow from Bragg's law for the DFT cell and can differ from measured ones.

Principal peaks in the range 10° ≤ 2θ ≤ 90°, low angle first:
(1 0 1), 2θ = 10.96°, intensity 100.0
(1 0 2), 2θ = 14.56°, intensity 86.2
(1 1 3), 2θ = 23.43°, intensity 37.9
(2 0 3), 2θ = 25.32°, intensity 17.8
(3 0 0), 2θ = 28.67°, intensity 19.2
(3 0 1), 2θ = 29.21°, intensity 24.9
(3 0 2), 2θ = 30.80°, intensity 30.9
(1 1 5), 2θ = 32.48°, intensity 33.1
(2 0 5), 2θ = 33.86°, intensity 18.6
(4 -2 3), 2θ = 37.35°, intensity 42.7

```
data_YAl3Cl12
_chemical_formula_sum 'Y3 Al9 Cl36'
_cell_length_a 10.7876
_cell_length_b 10.7876
_cell_length_c 16.0343
_cell_angle_alpha 90.00
_cell_angle_beta 90.00
_cell_angle_gamma 120.00
_symmetry_space_group_name_H-M 'P 31 1 2'
_symmetry_Int_Tables_number 151
loop_
_symmetry_equiv_pos_as_xyz
'x,y,z'
'-y,x-y,z+1/3'
'-x+y,-x,z+2/3'
'-y,-x,-z+2/3'
'-x+y,y,-z+1/3'
'x,x-y,-z'
loop_
_atom_site_label
_atom_site_type_symbol
_atom_site_fract_x
_atom_site_fract_y
_atom_site_fract_z
_atom_site_occupancy
Y1 Y 0.1702 0.3403 0.1667 1
Al1 Al 0.2023 0.6012 0.0000 1
Al2 Al 0.3012 0.0939 0.2309 1
Cl1 Cl 0.0027 0.1734 0.0377 1
Cl2 Cl 0.0742 0.5318 0.1126 1
Cl3 Cl 0.1285 0.3058 0.5442 1
Cl4 Cl 0.1700 0.4975 0.3155 1
Cl5 Cl 0.3199 0.1097 0.8878 1
Cl6 Cl 0.5007 0.1726 0.2894 1
```

---

Entry 3:
The following is a calculated powder diffractogram of Al9Co2. It was derived from the PBE geometry in the Materials Project, using Cu Kα.
Peak positions follow from Bragg's law for the DFT cell and can differ from measured ones.

Principal peaks in the range 10° ≤ 2θ ≤ 90°, low angle first:
(1 1 0), 2θ = 20.17°, intensity 53.0
(1 1 -1), 2θ = 22.15°, intensity 40.9
(1 1 1), 2θ = 23.29°, intensity 44.1
(1 2 2), 2θ = 39.18°, intensity 52.5
(2 1 2), 2θ = 40.14°, intensity 60.7
(2 1 -3), 2θ = 43.85°, intensity 62.5
(1 2 -3), 2θ = 44.55°, intensity 44.5
(1 3 0), 2θ = 45.78°, intensity 52.6
(3 1 0), 2θ = 46.41°, intensity 100.0
(1 3 -1), 2θ = 46.78°, intensity 98.8

```
data_Al9Co2
_chemical_formula_sum 'Al18 Co4'
_cell_length_a 6.1989
_cell_length_b 6.2784
_cell_length_c 8.5606
_cell_angle_alpha 90.00
_cell_angle_beta 94.88
_cell_angle_gamma 90.00
_symmetry_space_group_name_H-M 'P 1 21/c 1'
_symmetry_Int_Tables_number 14
loop_
_symmetry_equiv_pos_as_xyz
'x,y,z'
'-x,-y,-z'
'-x,y+1/2,-z+1/2'
'x,-y+1/2,z+1/2'
loop_
_atom_site_label
_atom_site_type_symbol
_atom_site_fract_x
_atom_site_fract_y
_atom_site_fract_z
_atom_site_occupancy
Al1 Al 0.0000 0.0000 0.0000 1
Al2 Al 0.0876 0.2102 0.7293 1
Al3 Al 0.2159 0.6140 0.0440 1
Al4 Al 0.3902 0.1917 0.9977 1
Al5 Al 0.4056 0.5338 0.7674 1
Co1 Co 0.2637 0.6185 0.3335 1
```

---

Entry 4:
The following is a calculated powder diffractogram of Al3Co. It was derived from the PBE geometry in the Materials Project, using Cu Kα.
Peak positions follow from Bragg's law for the DFT cell and can differ from measured ones.

Principal peaks in the range 10° ≤ 2θ ≤ 90°, low angle first:
(2 0 1), 2θ = 21.07°, intensity 23.8
(4 0 0), 2θ = 23.29°, intensity 35.0
(1 1 -1), 2θ = 24.79°, intensity 35.9
(0 0 2), 2θ = 26.42°, intensity 24.1
(6 0 1), 2θ = 43.15°, intensity 28.4
(1 1 -3), 2θ = 44.00°, intensity 100.0
(7 1 -2), 2θ = 44.17°, intensity 77.5
(0 2 0), 2θ = 44.33°, intensity 47.3
(2 0 3), 2θ = 46.88°, intensity 17.7
(7 1 0), 2θ = 47.21°, intensity 19.5

```
data_Al3Co
_chemical_formula_sum 'Al24 Co8'
_cell_length_a 17.0191
_cell_length_b 4.0870
_cell_length_c 7.5192
_cell_angle_alpha 90.00
_cell_angle_beta 116.15
_cell_angle_gamma 90.00
_symmetry_space_group_name_H-M 'C 1 m 1'
_symmetry_Int_Tables_number 8
loop_
_symmetry_equiv_pos_as_xyz
'x,y,z'
'x,-y,z'
'x+1/2,y+1/2,z'
'x+1/2,-y+1/2,z'
loop_
_atom_site_label
_atom_site_type_symbol
_atom_site_fract_x
_atom_site_fract_y
_atom_site_fract_z
_atom_site_occupancy
Al1 Al 0.0000 0.0000 0.0000 1
Al2 Al 0.0047 0.0000 0.6085 1
Al3 Al 0.0392 0.5000 0.3665 1
Al4 Al 0.1168 0.5000 0.1129 1
Al5 Al 0.1515 0.5000 0.7994 1
Al6 Al 0.1693 0.0000 0.6087 1
Al7 Al 0.2158 0.0000 0.3151 1
Al8 Al 0.2815 0.0000 0.0468 1
Al9 Al 0.3209 0.5000 0.8125 1
Al10 Al 0.3282 0.5000 0.4537 1
Al11 Al 0.4084 0.5000 0.2131 1
Al12 Al 0.4261 0.0000 0.7287 1
Co1 Co 0.1265 0.0000 0.9335 1
Co2 Co 0.1946 0.5000 0.4868 1
Co3 Co 0.4000 0.0000 0.3939 1
Co4 Co 0.4211 0.0000 0.0335 1
```

---

Entry 5:
The following is a calculated powder diffractogram of AlCo4. It was derived from the PBE geometry in the Materials Project, using Cu Kα.
Peak positions follow from Bragg's law for the DFT cell and can differ from measured ones.

Principal peaks in the range 10° ≤ 2θ ≤ 90°, low angle first:
(0 0 6), 2θ = 17.78°, intensity 6.8
(1 0 1), 2θ = 40.51°, intensity 2.1
(0 1 2), 2θ = 40.86°, intensity 1.8
(0 1 5), 2θ = 43.24°, intensity 100.0
(0 0 15), 2θ = 45.47°, intensity 28.4
(0 1 8), 2θ = 47.41°, intensity 1.6
(1 0 10), 2θ = 51.03°, intensity 59.4
(1 1 0), 2θ = 73.44°, intensity 18.4
(0 1 20), 2θ = 76.66°, intensity 16.0
(2 0 5), 2θ = 89.23°, intensity 10.9

```
data_AlCo4
_chemical_formula_sum 'Al3 Co12'
_cell_length_a 2.5787
_cell_length_b 2.5787
_cell_length_c 29.9231
_cell_angle_alpha 90.00
_cell_angle_beta 90.00
_cell_angle_gamma 120.00
_symmetry_space_group_name_H-M 'R -3 m'
_symmetry_Int_Tables_number 166
_symmetry_space_group_name_Hall '-R 3 2"'
loop_
_atom_site_label
_atom_site_type_symbol
_atom_site_fract_x
_atom_site_fract_y
_atom_site_fract_z
_atom_site_occupancy
Al1 Al 0.0000 0.0000 0.0000 1
Co1 Co 0.0000 0.0000 0.2003 1
Co2 Co 0.0000 0.0000 0.4011 1
```

---

Entry 6:
The following is a calculated powder diffractogram of Al6CoCu3. It was derived from the PBE geometry in the Materials Project, using Cu Kα.
Peak positions follow from Bragg's law for the DFT cell and can differ from measured ones.

Principal peaks in the range 10° ≤ 2θ ≤ 90°, low angle first:
(0 0 2), 2θ = 17.84°, intensity 35.8
(1 0 0), 2θ = 25.05°, intensity 40.9
(1 0 2), 2θ = 30.92°, intensity 34.4
(1 1 0), 2θ = 44.13°, intensity 88.3
(1 0 4), 2θ = 44.47°, intensity 100.0
(1 1 2), 2θ = 47.95°, intensity 15.7
(0 2 4), 2θ = 64.44°, intensity 31.0
(3 0 0), 2θ = 81.17°, intensity 13.4
(2 1 4), 2θ = 81.42°, intensity 30.6
(0 1 8), 2θ = 82.15°, intensity 9.1

```
data_Al6CoCu3
_chemical_formula_sum 'Al6 Co1 Cu3'
_cell_length_a 4.1048
_cell_length_b 4.1048
_cell_length_c 9.9436
_cell_angle_alpha 90.00
_cell_angle_beta 90.00
_cell_angle_gamma 120.00
_symmetry_space_group_name_H-M 'P 3 m 1'
_symmetry_Int_Tables_number 156
loop_
_symmetry_equiv_pos_as_xyz
'x,y,z'
'-y,x-y,z'
'-x+y,-x,z'
'-y,-x,z'
'-x+y,y,z'
'x,x-y,z'
loop_
_atom_site_label
_atom_site_type_symbol
_atom_site_fract_x
_atom_site_fract_y
_atom_site_fract_z
_atom_site_occupancy
Al1 Al 0.0000 0.0000 0.0000 1
Al2 Al 0.0000 0.0000 0.4683 1
Al3 Al 0.3333 0.6667 0.1836 1
Al4 Al 0.3333 0.6667 0.6681 1
Al5 Al 0.6667 0.3333 0.3244 1
Al6 Al 0.6667 0.3333 0.8181 1
Co1 Co 0.3333 0.6667 0.4254 1
Cu1 Cu 0.3333 0.6667 0.9215 1
Cu2 Cu 0.6667 0.3333 0.0727 1
Cu3 Cu 0.6667 0.3333 0.5719 1
```

---

Entry 7:
The following is a calculated powder diffractogram of DyAlCo4. It was derived from the PBE geometry in the Materials Project, using Cu Kα.
Peak positions follow from Bragg's law for the DFT cell and can differ from measured ones.

Principal peaks in the range 10° ≤ 2θ ≤ 90°, low angle first:
(0 0 1), 2θ = 21.97°, intensity 25.5
(0 2 1), 2θ = 30.20°, intensity 47.0
(1 1 1), 2θ = 30.43°, intensity 43.1
(1 3 0), 2θ = 36.03°, intensity 55.0
(2 2 0), 2θ = 42.30°, intensity 31.0
(1 3 1), 2θ = 42.60°, intensity 100.0
(2 0 1), 2θ = 43.11°, intensity 72.6
(0 0 2), 2θ = 44.81°, intensity 42.1
(1 3 2), 2θ = 58.79°, intensity 25.6
(3 3 1), 2θ = 70.04°, intensity 21.8

```
data_DyAlCo4
_chemical_formula_sum 'Dy2 Al2 Co8'
_cell_length_a 4.9083
_cell_length_b 8.6826
_cell_length_c 4.0454
_cell_angle_alpha 90.00
_cell_angle_beta 90.00
_cell_angle_gamma 90.00
_symmetry_space_group_name_H-M 'C m m m'
_symmetry_Int_Tables_number 65
_symmetry_space_group_name_Hall '-C 2 2'
loop_
_atom_site_label
_atom_site_type_symbol
_atom_site_fract_x
_atom_site_fract_y
_atom_site_fract_z
_atom_site_occupancy
Dy1 Dy 0.0000 0.0000 0.0000 1
Al1 Al 0.0000 0.5000 0.5000 1
Co1 Co 0.0000 0.3277 0.0000 1
Co2 Co 0.2500 0.2500 0.5000 1
```

---

Entry 8:
The following is a calculated powder diffractogram of Dy2Al3Co. It was derived from the PBE geometry in the Materials Project, using Cu Kα.
Peak positions follow from Bragg's law for the DFT cell and can differ from measured ones.

Principal peaks in the range 10° ≤ 2θ ≤ 90°, low angle first:
(1 0 1), 2θ = 19.92°, intensity 45.9
(0 0 3), 2θ = 20.42°, intensity 36.9
(1 1 0), 2θ = 32.70°, intensity 97.4
(1 0 4), 2θ = 33.33°, intensity 59.3
(0 2 1), 2θ = 38.59°, intensity 29.1
(1 1 3), 2θ = 38.86°, intensity 100.0
(0 1 5), 2θ = 39.40°, intensity 43.0
(2 1 4), 2θ = 58.77°, intensity 24.0
(3 0 3), 2θ = 62.51°, intensity 24.3
(1 2 5), 2θ = 62.89°, intensity 21.3

```
data_Dy2Al3Co
_chemical_formula_sum 'Dy6 Al9 Co3'
_cell_length_a 5.4767
_cell_length_b 5.4767
_cell_length_c 13.0506
_cell_angle_alpha 90.00
_cell_angle_beta 90.00
_cell_angle_gamma 120.00
_symmetry_space_group_name_H-M 'R -3 m'
_symmetry_Int_Tables_number 166
_symmetry_space_group_name_Hall '-R 3 2"'
loop_
_atom_site_label
_atom_site_type_symbol
_atom_site_fract_x
_atom_site_fract_y
_atom_site_fract_z
_atom_site_occupancy
Dy1 Dy 0.0000 0.0000 0.1265 1
Al1 Al 0.0000 0.5000 0.0000 1
Co1 Co 0.0000 0.0000 0.5000 1
```

---

Entry 9:
The following is a calculated powder diffractogram of Dy2AlCo3. It was derived from the PBE geometry in the Materials Project, using Cu Kα.
Peak positions follow from Bragg's law for the DFT cell and can differ from measured ones.

Principal peaks in the range 10° ≤ 2θ ≤ 90°, low angle first:
(1 0 1), 2θ = 20.65°, intensity 41.7
(1 1 0), 2θ = 33.51°, intensity 62.7
(1 0 4), 2θ = 36.58°, intensity 76.1
(0 2 1), 2θ = 39.69°, intensity 69.6
(1 1 3), 2θ = 41.05°, intensity 100.0
(0 1 5), 2θ = 43.66°, intensity 28.3
(2 1 4), 2θ = 61.93°, intensity 32.5
(3 0 3), 2θ = 65.06°, intensity 25.2
(2 2 0), 2θ = 70.43°, intensity 24.4
(2 0 8), 2θ = 77.74°, intensity 17.6

```
data_Dy2AlCo3
_chemical_formula_sum 'Dy6 Al3 Co9'
_cell_length_a 5.3477
_cell_length_b 5.3477
_cell_length_c 11.5929
_cell_angle_alpha 90.00
_cell_angle_beta 90.00
_cell_angle_gamma 120.00
_symmetry_space_group_name_H-M 'R -3 m'
_symmetry_Int_Tables_number 166
_symmetry_space_group_name_Hall '-R 3 2"'
loop_
_atom_site_label
_atom_site_type_symbol
_atom_site_fract_x
_atom_site_fract_y
_atom_site_fract_z
_atom_site_occupancy
Dy1 Dy 0.0000 0.0000 0.1301 1
Al1 Al 0.0000 0.0000 0.5000 1
Co1 Co 0.0000 0.5000 0.0000 1
```

---

Entry 10:
The following is a calculated powder diffractogram of DyAlCo4. It was derived from the PBE geometry in the Materials Project, using Cu Kα.
Peak positions follow from Bragg's law for the DFT cell and can differ from measured ones.

Principal peaks in the range 10° ≤ 2θ ≤ 90°, low angle first:
(1 0 1), 2θ = 30.89°, intensity 82.4
(1 1 0), 2θ = 35.72°, intensity 30.4
(2 0 0), 2θ = 41.48°, intensity 52.3
(1 1 1), 2θ = 42.89°, intensity 100.0
(0 0 2), 2θ = 46.90°, intensity 24.9
(2 1 1), 2θ = 61.19°, intensity 23.6
(2 0 2), 2θ = 64.38°, intensity 27.0
(3 0 1), 2θ = 69.12°, intensity 23.2
(2 2 0), 2θ = 75.67°, intensity 16.8
(1 1 3), 2θ = 84.30°, intensity 13.4

```
data_DyAlCo4
_chemical_formula_sum 'Dy1 Al1 Co4'
_cell_length_a 5.0274
_cell_length_b 5.0274
_cell_length_c 3.8745
_cell_angle_alpha 90.00
_cell_angle_beta 90.00
_cell_angle_gamma 120.00
_symmetry_space_group_name_H-M 'P -6 m 2'
_symmetry_Int_Tables_number 187
_symmetry_space_group_name_Hall 'P -6 2'
loop_
_atom_site_label
_atom_site_type_symbol
_atom_site_fract_x
_atom_site_fract_y
_atom_site_fract_z
_atom_site_occupancy
Dy1 Dy 0.0000 0.0000 0.0000 1
Al1 Al 0.3333 0.6667 0.0000 1
Co1 Co 0.5025 0.0050 0.5000 1
Co2 Co 0.6667 0.3333 0.0000 1
```

---

Entry 11:
The following is a calculated powder diffractogram of ErAlCo. It was derived from the PBE geometry in the Materials Project, using Cu Kα.
Peak positions follow from Bragg's law for the DFT cell and can differ from measured ones.

Principal peaks in the range 10° ≤ 2θ ≤ 90°, low angle first:
(0 1 1), 2θ = 19.21°, intensity 33.0
(0 0 2), 2θ = 19.47°, intensity 28.0
(2 1 1), 2θ = 28.81°, intensity 28.9
(0 2 0), 2θ = 33.43°, intensity 39.1
(0 1 3), 2θ = 33.90°, intensity 60.1
(3 1 1), 2θ = 37.71°, intensity 100.0
(3 0 2), 2θ = 37.85°, intensity 39.1
(2 2 0), 2θ = 39.96°, intensity 35.8
(2 1 3), 2θ = 40.37°, intensity 87.5
(1 2 2), 2θ = 40.50°, intensity 47.5

```
data_ErAlCo
_chemical_formula_sum 'Er8 Al8 Co8'
_cell_length_a 8.3561
_cell_length_b 5.3605
_cell_length_c 9.1201
_cell_angle_alpha 90.00
_cell_angle_beta 90.00
_cell_angle_gamma 90.00
_symmetry_space_group_name_H-M 'A m m 2'
_symmetry_Int_Tables_number 38
loop_
_symmetry_equiv_pos_as_xyz
'x,y,z'
'-x,-y,z'
'-x,y,z'
'x,-y,z'
'x,y+1/2,z+1/2'
'-x,-y+1/2,z+1/2'
'-x,y+1/2,z+1/2'
'x,-y+1/2,z+1/2'
loop_
_atom_site_label
_atom_site_type_symbol
_atom_site_fract_x
_atom_site_fract_y
_atom_site_fract_z
_atom_site_occupancy
Er1 Er 0.1749 0.0000 0.0000 1
Er2 Er 0.2968 0.0000 0.6633 1
Al1 Al 0.2278 0.0000 0.3259 1
Al2 Al 0.5000 0.2476 0.9163 1
Co1 Co 0.0000 0.0000 0.5033 1
Co2 Co 0.0000 0.2342 0.7378 1
Co3 Co 0.5000 0.0000 0.1630 1
```

---

Entry 12:
The following is a calculated powder diffractogram of Al2FeCo. It was derived from the PBE geometry in the Materials Project, using Cu Kα.
Peak positions follow from Bragg's law for the DFT cell and can differ from measured ones.

Principal peaks in the range 10° ≤ 2θ ≤ 90°, low angle first:
(1 0 0), 2θ = 31.22°, intensity 20.8
(1 1 0), 2θ = 44.73°, intensity 100.0
(1 1 2), 2θ = 55.55°, intensity 4.7
(2 0 0), 2θ = 65.11°, intensity 15.2
(2 1 0), 2θ = 73.97°, intensity 5.2
(2 1 2), 2θ = 82.46°, intensity 29.9

```
data_Al2FeCo
_chemical_formula_sum 'Al2 Fe1 Co1'
_cell_length_a 2.8645
_cell_length_b 2.8645
_cell_length_c 5.7337
_cell_angle_alpha 90.00
_cell_angle_beta 90.00
_cell_angle_gamma 90.00
_symmetry_space_group_name_H-M 'P 4/m m m'
_symmetry_Int_Tables_number 123
_symmetry_space_group_name_Hall '-P 4 2'
loop_
_atom_site_label
_atom_site_type_symbol
_atom_site_fract_x
_atom_site_fract_y
_atom_site_fract_z
_atom_site_occupancy
Al1 Al 0.0000 0.0000 0.2498 1
Fe1 Fe 0.5000 0.5000 0.0000 1
Co1 Co 0.5000 0.5000 0.5000 1
```

---

Entry 13:
The following is a calculated powder diffractogram of Al2FeCo. It was derived from the PBE geometry in the Materials Project, using Cu Kα.
Peak positions follow from Bragg's law for the DFT cell and can differ from measured ones.

Principal peaks in the range 10° ≤ 2θ ≤ 90°, low angle first:
(2 0 0), 2θ = 31.25°, intensity 20.8
(2 2 0), 2θ = 44.79°, intensity 100.0
(2 2 2), 2θ = 55.62°, intensity 4.7
(4 0 0), 2θ = 65.20°, intensity 15.2
(4 2 0), 2θ = 74.08°, intensity 5.2
(4 2 2), 2θ = 82.57°, intensity 29.9

```
data_Al2FeCo
_chemical_formula_sum 'Al8 Fe4 Co4'
_cell_length_a 5.7237
_cell_length_b 5.7237
_cell_length_c 5.7237
_cell_angle_alpha 90.00
_cell_angle_beta 90.00
_cell_angle_gamma 90.00
_symmetry_space_group_name_H-M 'F m -3 m'
_symmetry_Int_Tables_number 225
_symmetry_space_group_name_Hall '-F 4 2 3'
loop_
_atom_site_label
_atom_site_type_symbol
_atom_site_fract_x
_atom_site_fract_y
_atom_site_fract_z
_atom_site_occupancy
Al1 Al 0.2500 0.2500 0.2500 1
Fe1 Fe 0.0000 0.0000 0.0000 1
Co1 Co 0.0000 0.0000 0.5000 1
```